Entry 1:
# MnVHPbO5
Computed X-ray diffraction stick pattern, Cu Kα (λ = 1.5418 Å). Input: a DFT-relaxed cell (PBE+U, the Materials Project).
Kinematic intensities with the Lorentz-polarization factor, no thermal factor.

Structural model:
abc: 7.768 6.330 9.598
angles: 90.00 90.00 90.00
Positions (direct):
1 Mn 0.000 0.000 0.000
2 Mn 0.000 0.500 0.000
3 Mn 0.500 0.000 0.500
4 Mn 0.500 0.500 0.500
5 V 0.127 0.250 0.319
6 V 0.373 0.750 0.819
7 V 0.627 0.250 0.181
8 V 0.873 0.750 0.681
9 H 0.230 0.750 0.481
10 H 0.270 0.250 0.981
11 H 0.730 0.750 0.019
12 H 0.770 0.250 0.519
13 Pb 0.138 0.250 0.683
14 Pb 0.362 0.750 0.183
15 Pb 0.638 0.250 0.817
16 Pb 0.862 0.750 0.317
17 O 0.043 0.750 0.570
18 O 0.116 0.015 0.216
19 O 0.116 0.485 0.216
20 O 0.156 0.250 0.932
21 O 0.189 0.750 0.929
22 O 0.311 0.250 0.429
23 O 0.344 0.750 0.432
24 O 0.384 0.515 0.716
25 O 0.384 0.985 0.716
26 O 0.457 0.250 0.070
27 O 0.543 0.750 0.930
28 O 0.616 0.015 0.284
29 O 0.616 0.485 0.284
30 O 0.656 0.250 0.568
31 O 0.689 0.750 0.571
32 O 0.811 0.250 0.071
33 O 0.844 0.750 0.068
34 O 0.884 0.515 0.784
35 O 0.884 0.985 0.784
36 O 0.957 0.250 0.430

Top 8 peaks for 2θ from 10° to 90°, by angle:
index	2theta	I_rel
0 1 1	16.78	74.9
2 1 0	26.93	100.0
1 0 3	30.21	48.4
1 2 1	31.93	35.8
2 1 2	32.87	57.5
1 1 3	33.43	62.9
2 2 1	37.85	45.1
3 2 3	54.01	44.2

=====

Entry 2:
# Li4Mn3OF11
Computed X-ray diffraction stick pattern, Cu Kα (λ = 1.5418 Å). Input: a DFT-relaxed cell (PBE+U, the Materials Project).
Kinematic intensities with the Lorentz-polarization factor, no thermal factor.

Structural model:
abc: 5.771 6.052 6.447
angles: 103.15 98.94 100.01
Positions (direct):
1 Li 0.000 0.000 0.000
2 Li 0.226 0.668 0.279
3 Li 0.475 0.743 0.821
4 Li 0.769 0.926 0.473
5 Mn 0.341 0.199 0.519
6 Mn 0.619 0.338 0.153
7 Mn 0.911 0.472 0.725
8 O 0.668 0.306 0.476
9 F 0.021 0.190 0.733
10 F 0.051 0.955 0.340
11 F 0.179 0.697 0.935
12 F 0.219 0.482 0.528
13 F 0.298 0.216 0.153
14 F 0.442 0.931 0.568
15 F 0.538 0.397 0.843
16 F 0.569 0.644 0.253
17 F 0.663 0.032 0.046
18 F 0.798 0.752 0.723
19 F 0.932 0.447 0.133

Top 8 peaks for 2θ from 10° to 90°, by angle:
index	2theta	I_rel
0 1 0	15.40	100.0
1 -1 0	19.64	38.3
1 0 1	23.65	43.1
0 1 -2	29.12	60.9
1 0 -2	30.23	34.3
1 -2 0	31.76	37.8
2 0 -1	32.52	31.8
1 -3 2	50.34	30.3

=====

Entry 3:
# K2MgFe4P6O16F12
Computed X-ray diffraction stick pattern, Cu Kα (λ = 1.5418 Å). Input: a DFT-relaxed cell (PBE+U, the Materials Project).
Kinematic intensities with the Lorentz-polarization factor, no thermal factor.

Structural model:
abc: 7.430 7.978 10.680
angles: 100.48 109.86 91.90
Positions (direct):
1 K 0.000 0.000 0.000
2 K 0.440 0.925 0.433
3 Mg 0.659 0.514 0.433
4 Fe 0.245 0.925 0.731
5 Fe 0.571 0.604 0.892
6 Fe 0.760 0.404 0.200
7 Fe 0.903 0.220 0.560
8 P 0.191 0.324 0.381
9 P 0.316 0.525 0.090
10 P 0.545 0.996 0.041
11 P 0.583 0.214 0.727
12 P 0.866 0.653 0.714
13 P 0.941 0.826 0.418
14 O 0.017 0.804 0.758
15 O 0.059 0.399 0.272
16 O 0.138 0.827 0.528
17 O 0.145 0.260 0.489
18 O 0.347 0.004 0.936
19 O 0.361 0.574 0.975
20 O 0.465 0.044 0.708
21 O 0.472 0.493 0.215
22 O 0.498 0.371 0.779
23 O 0.638 0.219 0.603
24 O 0.652 0.847 0.002
25 O 0.676 0.162 0.092
26 O 0.793 0.630 0.825
27 O 0.822 0.966 0.451
28 O 0.823 0.650 0.365
29 O 0.889 0.497 0.618
30 F 0.092 0.120 0.714
31 F 0.162 0.365 0.032
32 F 0.196 0.663 0.139
33 F 0.287 0.180 0.308
34 F 0.384 0.459 0.452
35 F 0.386 0.711 0.752
36 F 0.491 0.956 0.167
37 F 0.673 0.714 0.596
38 F 0.732 0.299 0.369
39 F 0.747 0.528 0.049
40 F 0.781 0.205 0.847
41 F 0.998 0.862 0.293

Top 8 peaks for 2θ from 10° to 90°, by angle:
index	2theta	I_rel
1 0 -1	12.74	45.2
0 1 1	15.89	42.7
1 1 0	17.98	35.3
1 -2 0	25.00	33.2
1 0 -3	25.68	36.9
1 -1 2	25.92	72.1
0 2 1	26.26	100.0
2 1 -2	27.68	67.8

=====

Entry 4:
# CaEuV4O12
Computed X-ray diffraction stick pattern, Cu Kα (λ = 1.5418 Å). Input: a DFT-relaxed cell (PBE+U, the Materials Project).
Kinematic intensities with the Lorentz-polarization factor, no thermal factor.

Structural model:
abc: 5.329 5.329 7.541
angles: 90.00 90.00 90.00
Positions (direct):
1 Ca 0.000 0.000 0.000
2 Eu 0.500 0.500 0.500
3 V 0.000 0.500 0.249
4 V 0.000 0.500 0.751
5 V 0.500 0.000 0.249
6 V 0.500 0.000 0.751
7 O 0.000 0.500 0.000
8 O 0.000 0.500 0.500
9 O 0.250 0.250 0.250
10 O 0.250 0.250 0.750
11 O 0.250 0.750 0.250
12 O 0.250 0.750 0.750
13 O 0.500 0.000 0.000
14 O 0.500 0.000 0.500
15 O 0.750 0.250 0.250
16 O 0.750 0.250 0.750
17 O 0.750 0.750 0.250
18 O 0.750 0.750 0.750

Top 8 peaks for 2θ from 10° to 90°, by angle:
index	2theta	I_rel
0 0 1	11.74	19.7
1 0 0	16.63	19.5
1 0 1	20.41	82.2
2 0 0	33.63	100.0
2 1 1	39.65	44.3
2 2 0	48.29	52.8
3 1 2	60.13	36.5
4 0 0	70.69	28.6

=====

Entry 5:
# Li9Mn2Co5O16
Computed X-ray diffraction stick pattern, Cu Kα (λ = 1.5418 Å). Input: a DFT-relaxed cell (PBE+U, the Materials Project).
Kinematic intensities with the Lorentz-polarization factor, no thermal factor.

Structural model:
abc: 5.887 5.896 8.092
angles: 90.73 90.91 93.14
Positions (direct):
1 Li 0.000 0.000 0.000
2 Li 0.000 0.000 0.500
3 Li 0.000 0.500 0.000
4 Li 0.245 0.246 0.258
5 Li 0.245 0.754 0.257
6 Li 0.500 0.000 0.500
7 Li 0.500 0.500 0.500
8 Li 0.755 0.246 0.743
9 Li 0.755 0.754 0.742
10 Mn 0.245 0.756 0.747
11 Mn 0.755 0.244 0.253
12 Co 0.000 0.500 0.500
13 Co 0.245 0.254 0.746
14 Co 0.500 0.000 0.000
15 Co 0.500 0.500 0.000
16 Co 0.755 0.746 0.254
17 O 0.002 0.522 0.741
18 O 0.034 0.993 0.752
19 O 0.227 0.270 0.518
20 O 0.244 0.739 0.513
21 O 0.262 0.765 0.992
22 O 0.266 0.265 0.985
23 O 0.468 0.513 0.761
24 O 0.496 0.984 0.759
25 O 0.504 0.016 0.241
26 O 0.532 0.487 0.239
27 O 0.734 0.735 0.015
28 O 0.738 0.235 0.008
29 O 0.756 0.261 0.487
30 O 0.773 0.730 0.482
31 O 0.966 0.007 0.248
32 O 0.998 0.478 0.259

Top 8 peaks for 2θ from 10° to 90°, by angle:
index	2theta	I_rel
1 0 -1	18.51	100.0
1 -2 1	35.09	15.5
1 2 1	36.86	23.7
2 -2 0	42.25	29.2
2 2 0	44.79	49.1
3 2 -1	58.94	9.3
0 4 0	63.19	14.5
2 -2 4	63.32	14.1